Entry 1:
Calculated X-ray powder pattern of Li2BiB2O6 for Cu Ka, from DFT lattice parameters and positions (GGA-PBE).
Neutral-atom scattering factors, no anomalous dispersion.

Structure:
```
44
Lattice="8.596 0.000 0.000 0.000 6.444 0.000 -4.659 0.000 9.426" Properties=species:S:1:pos:R:3 pbc="T T T"
Li -1.478 1.395 4.610
Li -3.808 1.828 9.323
Li 0.255 4.702 5.135
Li 2.585 4.964 0.423
Li 1.353 1.480 9.003
Li 3.682 1.742 4.290
Li 7.745 4.617 0.103
Li 5.416 5.050 4.816
Bi 1.287 0.208 2.748
Bi -1.043 3.014 7.461
Bi 4.980 3.430 1.965
Bi 2.651 6.236 6.678
B -3.493 4.189 7.587
B -1.163 5.477 2.875
B 3.265 1.234 1.021
B 0.935 1.988 5.734
B 3.002 4.456 3.692
B 0.673 5.210 8.404
B 5.100 0.967 6.551
B 7.430 2.255 1.838
O -2.619 4.344 6.529
O -0.290 5.322 1.816
O -2.185 1.372 6.486
O 0.145 1.850 1.773
O -2.960 3.554 8.725
O -0.630 6.112 4.012
O 2.221 0.449 0.582
O -0.109 2.773 5.295
O 2.872 4.716 2.332
O 0.543 4.950 7.045
O 1.827 1.356 4.882
O 4.156 1.866 0.169
O -0.219 4.578 9.257
O 2.111 5.088 4.544
O 3.394 1.494 2.381
O 1.065 1.728 7.093
O 4.046 3.671 4.131
O 1.717 5.995 8.844
O 4.568 0.332 5.414
O 6.897 2.890 0.701
O 3.793 4.594 7.653
O 6.122 5.072 2.940
O 4.227 1.122 7.609
O 6.557 2.100 2.897
```

Top 8 peaks for 5° ≤ 2θ ≤ 70°, low angle first:
5.002 Å, 2θ = 17.7°, intensity 100
4.713 Å, 2θ = 18.8°, intensity 33
3.966 Å, 2θ = 22.4°, intensity 18
3.941 Å, 2θ = 22.6°, intensity 51
3.077 Å, 2θ = 29.0°, intensity 18
2.581 Å, 2θ = 34.8°, intensity 20
2.472 Å, 2θ = 36.3°, intensity 17
2.446 Å, 2θ = 36.7°, intensity 16

---

Entry 2:
Calculated X-ray powder pattern of PtBr2Cl for Cu Ka, from DFT lattice parameters and positions (GGA-PBE).
Neutral-atom scattering factors, no anomalous dispersion.

Structure:
```
4
Lattice="3.624 0.000 0.000 0.000 2.714 5.946 0.000 -2.714 5.946" Properties=species:S:1:pos:R:3 pbc="T T T"
Pt 0.000 0.000 0.000
Br 0.000 0.000 5.914
Br 1.812 0.000 1.688
Cl 1.812 0.000 10.335
```

Top 8 peaks for 5° ≤ 2θ ≤ 70°, low angle first:
5.946 Å, 2θ = 14.9°, intensity 100
4.939 Å, 2θ = 18.0°, intensity 72
3.095 Å, 2θ = 28.9°, intensity 56
2.714 Å, 2θ = 33.0°, intensity 34
2.399 Å, 2θ = 37.5°, intensity 28
2.299 Å, 2θ = 39.2°, intensity 41
2.041 Å, 2θ = 44.4°, intensity 35
1.754 Å, 2θ = 52.1°, intensity 36

---

Entry 3:
Calculated X-ray powder pattern of LaSm8Er5 for Cu Ka, from DFT lattice parameters and positions (GGA-PBE).
Neutral-atom scattering factors, no anomalous dispersion.

Structure:
```
14
Lattice="-4.771 4.771 5.206 4.771 -4.771 5.206 4.771 4.771 -5.206" Properties=species:S:1:pos:R:3 pbc="T T T"
La 0.000 0.000 0.000
Sm 3.093 0.831 -0.017
Sm 5.451 3.088 -1.507
Sm 3.940 -1.678 5.223
Sm -0.680 1.683 3.699
Sm 3.088 4.091 1.507
Sm 0.831 6.450 0.017
Sm 1.683 0.680 6.714
Sm 1.678 3.940 5.190
Er 1.965 3.698 -1.861
Er 5.845 1.965 1.861
Er 2.806 1.074 3.345
Er 0.000 4.771 2.603
Er -1.074 2.806 7.068
```

Top 8 peaks for 5° ≤ 2θ ≤ 70°, low angle first:
3.262 Å, 2θ = 27.3°, intensity 50
3.042 Å, 2θ = 29.4°, intensity 64
3.018 Å, 2θ = 29.6°, intensity 69
2.831 Å, 2θ = 31.6°, intensity 23
2.693 Å, 2θ = 33.3°, intensity 100
2.611 Å, 2θ = 34.3°, intensity 36
2.565 Å, 2θ = 35.0°, intensity 45
1.504 Å, 2θ = 61.7°, intensity 20

---

Entry 4:
Calculated X-ray powder pattern of Sm3HoEr5 for Cu Ka, from DFT lattice parameters and positions (GGA-PBE).
Neutral-atom scattering factors, no anomalous dispersion.

Structure:
```
18
Lattice="8.775 -3.144 0.000 8.775 3.144 0.000 -3.580 0.000 10.901" Properties=species:S:1:pos:R:3 pbc="T T T"
Sm 0.000 0.000 0.000
Sm -1.790 0.000 5.451
Sm 2.568 1.086 10.704
Sm 9.612 1.086 5.648
Sm 4.358 -1.086 5.253
Sm 11.402 -1.086 0.198
Ho 7.880 2.392 2.725
Ho 6.090 -2.392 8.176
Er 3.616 2.065 6.646
Er 4.703 1.381 3.008
Er 8.563 2.065 9.706
Er 6.090 0.637 8.176
Er 11.057 1.381 2.442
Er 2.913 -1.381 8.459
Er 7.880 -0.637 2.725
Er 5.406 -2.065 1.195
Er 9.267 -1.381 7.893
Er 10.353 -2.065 4.256
```

Top 8 peaks for 5° ≤ 2θ ≤ 70°, low angle first:
3.124 Å, 2θ = 28.6°, intensity 59
2.951 Å, 2θ = 30.3°, intensity 96
2.942 Å, 2θ = 30.4°, intensity 37
2.779 Å, 2θ = 32.2°, intensity 100
2.765 Å, 2θ = 32.4°, intensity 78
2.725 Å, 2θ = 32.9°, intensity 28
2.678 Å, 2θ = 33.5°, intensity 68
2.553 Å, 2θ = 35.1°, intensity 46

---

Entry 5:
Calculated X-ray powder pattern of La4AuBr4 for Cu Ka, from DFT lattice parameters and positions (GGA-PBE).
Neutral-atom scattering factors, no anomalous dispersion.

Structure:
```
9
Lattice="7.136 -2.124 0.000 7.136 2.124 0.000 -5.777 0.000 9.495" Properties=species:S:1:pos:R:3 pbc="T T T"
La -0.828 0.000 3.966
La 3.153 0.000 2.001
La 5.342 0.000 7.494
La 9.323 0.000 5.530
Au 4.247 0.000 4.748
Br -3.803 0.000 8.557
Br 0.376 0.000 6.969
Br 8.119 0.000 2.527
Br 12.298 0.000 0.938
```

Top 8 peaks for 5° ≤ 2θ ≤ 70°, low angle first:
9.495 Å, 2θ = 9.3°, intensity 24
7.064 Å, 2θ = 12.5°, intensity 11
3.164 Å, 2θ = 28.2°, intensity 11
3.062 Å, 2θ = 29.2°, intensity 100
2.215 Å, 2θ = 40.7°, intensity 39
2.124 Å, 2θ = 42.6°, intensity 12
2.115 Å, 2θ = 42.8°, intensity 22
1.744 Å, 2θ = 52.5°, intensity 12

---

Entry 6:
Calculated X-ray powder pattern of Pm2Pr2Se2S3 for Cu Ka, from DFT lattice parameters and positions (GGA-PBE).
Neutral-atom scattering factors, no anomalous dispersion.

Structure:
```
9
Lattice="-2.769 2.769 7.539 2.769 -2.769 7.539 2.769 2.769 -7.539" Properties=species:S:1:pos:R:3 pbc="T T T"
Pm 2.769 0.000 0.000
Pm 0.000 2.769 0.000
Pr 0.000 0.000 3.059
Pr 0.000 0.000 12.019
Se 0.000 0.000 6.010
Se 0.000 0.000 9.067
S 0.000 0.000 0.000
S 2.769 0.000 3.769
S 0.000 2.769 3.769
```

Top 8 peaks for 5° ≤ 2θ ≤ 70°, low angle first:
3.769 Å, 2θ = 23.6°, intensity 22
3.475 Å, 2θ = 25.6°, intensity 74
2.769 Å, 2θ = 32.3°, intensity 100
2.716 Å, 2θ = 33.0°, intensity 34
2.648 Å, 2θ = 33.8°, intensity 57
1.958 Å, 2θ = 46.4°, intensity 36
1.914 Å, 2θ = 47.5°, intensity 43
1.706 Å, 2θ = 53.7°, intensity 21